Simulated powder diffraction line list of Ce5Ge2Ir for Cu Kα, 1.54184 Å, from a structure optimized by DFT (GGA-PBE).
No peak broadening, texture or thermal motion is included.

Structural model:
```
data_Ce5Ge2Ir
_space_group_name_H-M_alt 'P n m a'
_space_group_IT_number 62
_cell_length_a 11.8841
_cell_length_b 8.7032
_cell_length_c 7.9911
_cell_angle_alpha 90.00
_cell_angle_beta 90.00
_cell_angle_gamma 90.00
loop_
_space_group_symop_operation_xyz
'x,y,z'
'-x,-y,-z'
'-x+1/2,-y,z+1/2'
'x+1/2,y,-z+1/2'
'x+1/2,-y+1/2,-z+1/2'
'-x+1/2,y+1/2,z+1/2'
'-x,y+1/2,-z'
'x,-y+1/2,z'
loop_
_atom_site_label
_atom_site_type_symbol
_atom_site_fract_x
_atom_site_fract_y
_atom_site_fract_z
Ce1 Ce 0.9995 0.2500 0.0372
Ce2 Ce 0.0751 0.0416 0.6914
Ce3 Ce 0.2055 0.7500 0.3502
Ce4 Ce 0.2174 0.2500 0.3283
Ge1 Ge 0.1726 0.5057 0.0586
Ir1 Ir 0.0169 0.7500 0.5767
```

Most intense lines, 5 to 70 degrees two-theta, by intensity:
2θ = 33.99°, rel. 100.0; 2θ = 31.31°, rel. 73.7; 2θ = 32.14°, rel. 62.9; 2θ = 36.62°, rel. 57.3; 2θ = 41.50°, rel. 45.5; 2θ = 31.81°, rel. 38.5; 2θ = 27.75°, rel. 34.7; 2θ = 38.45°, rel. 33.6; 2θ = 34.51°, rel. 30.4; 2θ = 32.56°, rel. 23.2; 2θ = 32.84°, rel. 22.0; 2θ = 44.90°, rel. 20.2

Simulated powder diffraction line list of LuTaO4 for Cu Kα, 1.54184 Å, from a structure optimized by DFT (GGA-PBE).
No peak broadening, texture or thermal motion is included.

Structural model:
```
data_LuTaO4
_space_group_name_H-M_alt 'P 1 2/c 1'
_space_group_IT_number 13
_cell_length_a 5.0123
_cell_length_b 5.7534
_cell_length_c 5.2519
_cell_angle_alpha 90.00
_cell_angle_beta 93.35
_cell_angle_gamma 90.00
loop_
_space_group_symop_operation_xyz
'x,y,z'
'-x,-y,-z'
'-x,y,-z+1/2'
'x,-y,z+1/2'
loop_
_atom_site_label
_atom_site_type_symbol
_atom_site_fract_x
_atom_site_fract_y
_atom_site_fract_z
Lu1 Lu 0.0000 0.1957 0.2500
Ta1 Ta 0.5000 0.3206 0.7500
O1 O 0.2404 0.1116 0.6029
O2 O 0.2843 0.4041 0.0461
```

Most intense lines, 5 to 70 degrees two-theta, by intensity:
2θ = 28.52°, rel. 100.0; 2θ = 29.76°, rel. 90.3; 2θ = 23.56°, rel. 31.5; 2θ = 34.20°, rel. 29.7; 2θ = 35.60°, rel. 25.9; 2θ = 35.89°, rel. 22.0; 2θ = 51.00°, rel. 20.6; 2θ = 31.09°, rel. 20.3; 2θ = 62.16°, rel. 19.7; 2θ = 46.89°, rel. 16.7; 2θ = 57.09°, rel. 16.6; 2θ = 48.83°, rel. 16.6

Simulated powder diffraction line list of MgSc2Ag2O6 for Cu Kα, 1.54184 Å, from a structure optimized by DFT (GGA-PBE).
No peak broadening, texture or thermal motion is included.

Structural model:
```
data_MgSc2Ag2O6
_space_group_name_H-M_alt 'A m m 2'
_space_group_IT_number 38
_cell_length_a 3.2762
_cell_length_b 8.7029
_cell_length_c 10.6922
_cell_angle_alpha 90.00
_cell_angle_beta 90.00
_cell_angle_gamma 90.00
loop_
_space_group_symop_operation_xyz
'x,y,z'
'-x,-y,z'
'-x,y,z'
'x,-y,z'
'x,y+1/2,z+1/2'
'-x,-y+1/2,z+1/2'
'-x,y+1/2,z+1/2'
'x,-y+1/2,z+1/2'
loop_
_atom_site_label
_atom_site_type_symbol
_atom_site_fract_x
_atom_site_fract_y
_atom_site_fract_z
Mg1 Mg 0.0000 0.0000 0.0000
Sc1 Sc 0.5000 0.2062 0.5209
Ag1 Ag 0.0000 0.0000 0.2679
Ag2 Ag 0.0000 0.0000 0.7488
O1 O 0.0000 0.1711 0.4080
O2 O 0.0000 0.1731 0.1152
O3 O 0.5000 0.0000 0.6102
O4 O 0.5000 0.0000 0.9045
```

Most intense lines, 5 to 70 degrees two-theta, by intensity:
2θ = 26.41°, rel. 100.0; 2θ = 32.03°, rel. 69.4; 2θ = 48.69°, rel. 64.3; 2θ = 34.26°, rel. 43.5; 2θ = 20.41°, rel. 34.9; 2θ = 27.22°, rel. 23.3; 2θ = 53.37°, rel. 23.1; 2θ = 33.53°, rel. 20.9; 2θ = 38.29°, rel. 19.6; 2θ = 41.50°, rel. 17.1; 2θ = 63.09°, rel. 16.7; 2θ = 39.57°, rel. 13.9

Simulated powder diffraction line list of Zr2N2O for Cu Kα, 1.54184 Å, from a structure optimized by DFT (GGA-PBE).
No peak broadening, texture or thermal motion is included.

Structural model:
```
data_Zr2N2O
_space_group_name_H-M_alt 'P 1'
_space_group_IT_number 1
_cell_length_a 8.8513
_cell_length_b 8.8713
_cell_length_c 8.8920
_cell_angle_alpha 109.59
_cell_angle_beta 109.33
_cell_angle_gamma 109.33
loop_
_space_group_symop_operation_xyz
'x,y,z'
loop_
_atom_site_label
_atom_site_type_symbol
_atom_site_fract_x
_atom_site_fract_y
_atom_site_fract_z
Zr1 Zr 0.0000 0.0000 0.0000
Zr2 Zr 0.0011 0.4903 0.4973
Zr3 Zr 0.0359 0.7021 0.2460
Zr4 Zr 0.2146 0.1787 0.4640
Zr5 Zr 0.2424 0.4513 0.2062
Zr6 Zr 0.2611 0.9617 0.7163
Zr7 Zr 0.2950 0.7506 0.9740
Zr8 Zr 0.4713 0.2223 0.1877
Zr9 Zr 0.4885 0.9277 0.4266
Zr10 Zr 0.5030 0.4274 0.9353
Zr11 Zr 0.5308 0.7049 0.7550
Zr12 Zr 0.7136 0.6685 0.4680
Zr13 Zr 0.7392 0.4618 0.7142
Zr14 Zr 0.7433 0.9648 0.2193
Zr15 Zr 0.7825 0.2549 0.9647
Zr16 Zr 0.9550 0.2120 0.6814
N1 N 0.0108 0.4532 0.2525
N2 N 0.0223 0.2190 0.9410
N3 N 0.2348 0.6860 0.1671
N4 N 0.2577 0.2296 0.2589
N5 N 0.2813 0.7239 0.7028
N6 N 0.2888 0.9711 0.4881
N7 N 0.4729 0.4271 0.6704
N8 N 0.4906 0.4775 0.1863
N9 N 0.5145 0.6941 0.9912
N10 N 0.5183 0.1827 0.9498
N11 N 0.5224 0.0063 0.2283
N12 N 0.7057 0.1891 0.6794
N13 N 0.7207 0.4193 0.4462
N14 N 0.7827 0.5092 0.9890
N15 N 0.7935 0.7370 0.7523
N16 N 0.9863 0.2307 0.4471
O1 O 0.0249 0.4946 0.7655
O2 O 0.2012 0.9495 0.9415
O3 O 0.2119 0.1971 0.7289
O4 O 0.4809 0.7058 0.4906
O5 O 0.7450 0.0006 0.9889
O6 O 0.7607 0.9236 0.4522
O7 O 0.9715 0.9141 0.2021
O8 O 0.9738 0.7411 0.4812
```

Most intense lines, 5 to 70 degrees two-theta, by intensity:
2θ = 30.17°, rel. 100.0; 2θ = 35.01°, rel. 37.4; 2θ = 30.29°, rel. 32.8; 2θ = 50.25°, rel. 16.8; 2θ = 21.23°, rel. 16.7; 2θ = 50.47°, rel. 16.5; 2θ = 50.35°, rel. 16.3; 2θ = 59.83°, rel. 14.2; 2θ = 59.72°, rel. 8.9; 2θ = 59.94°, rel. 8.5; 2θ = 45.01°, rel. 5.2; 2θ = 45.11°, rel. 5.1

Simulated powder diffraction line list of HoGa6Fe6 for Cu Kα, 1.54184 Å, from a structure optimized by DFT (GGA-PBE).
No peak broadening, texture or thermal motion is included.

Structural model:
```
data_HoGa6Fe6
_space_group_name_H-M_alt 'I m m m'
_space_group_IT_number 71
_space_group_name_Hall '-I 2 2'
_cell_length_a 5.0274
_cell_length_b 8.4720
_cell_length_c 8.6634
_cell_angle_alpha 90.00
_cell_angle_beta 90.00
_cell_angle_gamma 90.00
loop_
_atom_site_label
_atom_site_type_symbol
_atom_site_fract_x
_atom_site_fract_y
_atom_site_fract_z
Ho1 Ho 0.0000 0.0000 0.0000
Ga1 Ga 0.0000 0.0000 0.3427
Ga2 Ga 0.0000 0.3343 0.0000
Ga3 Ga 0.0000 0.5000 0.3225
Fe1 Fe 0.0000 0.2547 0.5000
Fe2 Fe 0.2500 0.2500 0.2500
```

Most intense lines, 5 to 70 degrees two-theta, by intensity:
2θ = 41.91°, rel. 100.0; 2θ = 41.76°, rel. 79.8; 2θ = 35.86°, rel. 72.5; 2θ = 41.54°, rel. 54.8; 2θ = 42.69°, rel. 51.2; 2θ = 42.22°, rel. 49.3; 2θ = 46.98°, rel. 47.3; 2θ = 35.72°, rel. 37.5; 2θ = 36.49°, rel. 30.7; 2θ = 33.37°, rel. 30.5; 2θ = 68.41°, rel. 22.2; 2θ = 47.13°, rel. 22.1

Simulated powder diffraction line list of YTl2P2S7 for Cu Kα, 1.54184 Å, from a structure optimized by DFT (GGA-PBE).
No peak broadening, texture or thermal motion is included.

Structural model:
```
data_YTl2P2S7
_space_group_name_H-M_alt 'C 1 2/c 1'
_space_group_IT_number 15
_cell_length_a 23.0962
_cell_length_b 6.7415
_cell_length_c 18.9226
_cell_angle_alpha 90.00
_cell_angle_beta 120.62
_cell_angle_gamma 90.00
loop_
_space_group_symop_operation_xyz
'x,y,z'
'-x,-y,-z'
'-x,y,-z+1/2'
'x,-y,z+1/2'
'x+1/2,y+1/2,z'
'-x+1/2,-y+1/2,-z'
'-x+1/2,y+1/2,-z+1/2'
'x+1/2,-y+1/2,z+1/2'
loop_
_atom_site_label
_atom_site_type_symbol
_atom_site_fract_x
_atom_site_fract_y
_atom_site_fract_z
Y1 Y 0.1593 0.0436 0.2386
Tl1 Tl 0.0117 0.4724 0.8802
Tl2 Tl 0.1821 0.0093 0.0262
P1 P 0.0500 0.0266 0.3089
P2 P 0.1667 0.4952 0.6402
S1 S 0.0274 0.0229 0.3980
S2 S 0.0991 0.2760 0.3055
S3 S 0.1020 0.2137 0.8047
S4 S 0.1019 0.2678 0.0901
S5 S 0.1088 0.2433 0.6098
S6 S 0.2222 0.4457 0.2652
S7 S 0.2328 0.4803 0.5992
```

Most intense lines, 5 to 70 degrees two-theta, by intensity:
2θ = 18.78°, rel. 100.0; 2θ = 23.92°, rel. 60.8; 2θ = 27.59°, rel. 45.2; 2θ = 30.75°, rel. 42.5; 2θ = 26.44°, rel. 41.2; 2θ = 33.34°, rel. 38.2; 2θ = 38.09°, rel. 38.0; 2θ = 31.19°, rel. 29.3; 2θ = 25.61°, rel. 27.9; 2θ = 19.95°, rel. 24.9; 2θ = 32.69°, rel. 22.3; 2θ = 38.34°, rel. 19.6